# KEr4IO6
Calculated X-ray powder pattern, Cu Kα (λ = 1.5418 Å). Input: a crystal structure in OQMD, relaxed with PBE.
Intensities are scaled so that the largest is 100.

Peak list (8 most intense, 2θ from 10° to 90°, in order of rising 2θ)
2θ (°)	Rel. int.
15.51	23
20.51	33
25.82	97
27.03	100
34.17	38
37.72	24
47.02	37
50.42	38

Cell and atoms:
```
data_KEr4IO6
_cell_length_a 6.5984
_cell_length_b 6.5984
_cell_length_c 8.6585
_cell_angle_alpha 90.00
_cell_angle_beta 90.00
_cell_angle_gamma 120.00
_symmetry_space_group_name_H-M 'P 6/m m m'
_symmetry_Int_Tables_number 191
_symmetry_space_group_name_Hall '-P 6 2'
loop_
_atom_site_label
_atom_site_type_symbol
_atom_site_fract_x
_atom_site_fract_y
_atom_site_fract_z
K1 K 0.0000 0.0000 0.0000
Er1 Er 0.3333 0.6667 0.2579
I1 I 0.0000 0.0000 0.5000
O1 O 0.0000 0.5000 0.1832
```

# Nd2Er2I5N
Calculated X-ray powder pattern, Cu Kα (λ = 1.5418 Å). Input: a crystal structure in OQMD, relaxed with PBE.
Intensities are scaled so that the largest is 100.

Peak list (8 most intense, 2θ from 10° to 90°, in order of rising 2θ)
2θ (°)	Rel. int.
10.35	41
28.02	33
29.61	18
30.41	100
32.56	41
41.72	19
41.93	20
45.74	20

Cell and atoms:
```
data_Nd2Er2I5N
_cell_length_a 19.572
_cell_length_b 3.967
_cell_length_c 8.755
_cell_angle_alpha 90.00
_cell_angle_beta 102.51
_cell_angle_gamma 90.00
_symmetry_space_group_name_H-M 'C 1 2/m 1'
_symmetry_Int_Tables_number 12
loop_
_symmetry_equiv_pos_as_xyz
'x,y,z'
'-x,-y,-z'
'-x,y,-z'
'x,-y,z'
'x+1/2,y+1/2,z'
'-x+1/2,-y+1/2,-z'
'-x+1/2,y+1/2,-z'
'x+1/2,-y+1/2,z'
loop_
_atom_site_label
_atom_site_type_symbol
_atom_site_fract_x
_atom_site_fract_y
_atom_site_fract_z
Nd1 Nd 0.000 0.000 0.194
Er1 Er 0.120 0.500 0.059
I1 I 0.000 0.500 0.500
I2 I 0.165 0.000 0.325
I3 I 0.166 0.000 0.835
N1 N 0.000 0.500 0.000
```

# NaErI4
Calculated X-ray powder pattern, Cu Kα (λ = 1.5418 Å). Input: a crystal structure in OQMD, relaxed with PBE.
Intensities are scaled so that the largest is 100.

Peak list (8 most intense, 2θ from 10° to 90°, in order of rising 2θ)
2θ (°)	Rel. int.
12.24	27
15.28	25
25.81	49
26.07	32
26.54	100
34.45	35
40.74	64
43.94	29

Cell and atoms:
```
data_NaErI4
_cell_length_a 7.237
_cell_length_b 8.854
_cell_length_c 7.684
_cell_angle_alpha 90.00
_cell_angle_beta 92.44
_cell_angle_gamma 90.00
_symmetry_space_group_name_H-M 'P 1 2/c 1'
_symmetry_Int_Tables_number 13
loop_
_symmetry_equiv_pos_as_xyz
'x,y,z'
'-x,-y,-z'
'-x,y,-z+1/2'
'x,-y,z+1/2'
loop_
_atom_site_label
_atom_site_type_symbol
_atom_site_fract_x
_atom_site_fract_y
_atom_site_fract_z
Na1 Na 0.000 0.140 0.250
Er1 Er 0.500 0.355 0.750
I1 I 0.254 0.124 0.592
I2 I 0.265 0.395 0.065
```